Starting from a structure optimized by DFT (GGA-PBE), the PXRD pattern of MnAu5 was computed for a wavelength of 1.5418 Å.

```
data_MnAu5
_cell_length_a 3.9719
_cell_length_b 8.7972
_cell_length_c 6.0569
_cell_angle_alpha 90.00
_cell_angle_beta 90.00
_cell_angle_gamma 90.00
_space_group_name_H-M_alt 'P m m n'
_space_group_IT_number 59
loop_
_space_group_symop_operation_xyz
'x,y,z'
'-x,-y,-z'
'-x+1/2,-y+1/2,z'
'x+1/2,y+1/2,-z'
'x+1/2,-y,-z'
'-x+1/2,y,z'
'-x,y+1/2,-z'
'x,-y+1/2,z'
loop_
_atom_site_label
_atom_site_fract_x
_atom_site_fract_y
_atom_site_fract_z
Mn1 0.2500 0.2500 0.1217
Au1 0.2500 0.2500 0.6267
Au2 0.2500 0.5847 0.1182
Au3 0.2500 0.5882 0.6312
```

Top 10 peaks for 5 to 70 degrees two-theta, sorted by position:
17.8°, I = 4, (0 1 1); 24.6°, I = 6, (1 1 0); 28.7°, I = 4, (1 1 1); 37.3°, I = 100, (1 0 2); 38.1°, I = 95, (1 3 0); 42.9°, I = 68, (0 3 2); 45.7°, I = 29, (2 0 0); 61.2°, I = 12, (0 0 4); 63.4°, I = 11, (0 6 0); 64.5°, I = 41, (2 3 2)



Starting from a structure optimized by DFT (GGA-PBE), the PXRD pattern of Mn9Au31 was computed for a wavelength of 1.5418 Å.

```
data_Mn9Au31
_cell_length_a 13.0615
_cell_length_b 13.0615
_cell_length_c 4.0665
_cell_angle_alpha 90.00
_cell_angle_beta 90.00
_cell_angle_gamma 90.00
_space_group_name_H-M_alt 'P 4/m'
_space_group_IT_number 83
loop_
_space_group_symop_operation_xyz
'x,y,z'
'-x,-y,-z'
'-y,x,z'
'y,-x,-z'
'-x,-y,z'
'x,y,-z'
'y,-x,z'
'-y,x,-z'
loop_
_atom_site_label
_atom_site_fract_x
_atom_site_fract_y
_atom_site_fract_z
Mn1 0.0000 0.0000 0.0000
Mn2 0.0500 0.3486 0.5000
Mn3 0.2981 0.6015 0.0000
Au1 0.0000 0.5000 0.0000
Au2 0.0478 0.8512 0.5000
Au3 0.0986 0.2022 0.0000
Au4 0.0985 0.6976 0.0000
Au5 0.1498 0.5493 0.5000
Au6 0.1993 0.4001 0.0000
Au7 0.2530 0.2534 0.5000
Au8 0.3507 0.4527 0.5000
Au9 0.5000 0.5000 0.0000
```

Top 10 peaks for 5 to 70 degrees two-theta, sorted by position:
20.4°, I = 3, (3 0 0); 23.9°, I = 3, (1 1 1); 24.6°, I = 3, (3 2 0); 26.7°, I = 5, (2 1 1); 35.9°, I = 2, (4 1 1); 37.9°, I = 100, (2 4 1); 43.8°, I = 33, (6 2 0); 44.6°, I = 16, (0 0 2); 63.7°, I = 11, (4 8 0); 64.3°, I = 21, (6 2 2)



Starting from a structure optimized by DFT (GGA-PBE), the PXRD pattern of MnAu6 was computed for a wavelength of 1.5418 Å.

```
data_MnAu6
_cell_length_a 4.0538
_cell_length_b 4.0538
_cell_length_c 8.1313
_cell_angle_alpha 90.00
_cell_angle_beta 90.00
_cell_angle_gamma 90.00
_space_group_name_H-M_alt 'P 4/m m m'
_space_group_IT_number 123
_space_group_name_Hall '-P 4 2'
loop_
_atom_site_label
_atom_site_fract_x
_atom_site_fract_y
_atom_site_fract_z
Mn1 0.0000 0.0000 0.0000
Au1 0.0000 0.0000 0.5000
Au2 0.0000 0.5000 0.2538
Au3 0.5000 0.5000 0.0000
```

Top 10 peaks for 5 to 70 degrees two-theta, sorted by position:
21.9°, I = 8, (0 0 2); 24.5°, I = 23, (1 0 1); 31.2°, I = 7, (1 1 0); 38.4°, I = 100, (1 1 2); 40.0°, I = 7, (1 0 3); 44.6°, I = 16, (0 0 4); 44.7°, I = 33, (2 0 0); 51.7°, I = 7, (2 1 1); 65.0°, I = 22, (2 0 4); 65.1°, I = 11, (2 2 0)